For Rb8HfMo6O24, a DFT-relaxed cell (GGA+U, Alexandria) gives the calculated X-ray powder pattern in this record (Cu Kα (λ = 1.5418 Å)).
Neutral-atom scattering factors, no anomalous dispersion.

Cell lengths 10.9844, 10.9844, 8.1050 Å; angles 98.43, 98.43, 124.17 degrees
Positions (direct):
Rb 0.0179 0.3689 0.6130
Rb 0.1622 0.8378 0.0000
Rb 0.2849 0.2849 0.8487
Rb 0.3689 0.0179 0.6130
Rb 0.6311 0.9821 0.3870
Rb 0.7151 0.7151 0.1513
Rb 0.8378 0.1622 0.0000
Rb 0.9821 0.6311 0.3870
Hf 0.5000 0.5000 0.5000
Mo 0.1171 0.1171 0.2975
Mo 0.2386 0.5478 0.2080
Mo 0.4522 0.7614 0.7920
Mo 0.5478 0.2386 0.2080
Mo 0.7614 0.4522 0.7920
Mo 0.8829 0.8829 0.7025
O 0.0559 0.9077 0.6878
O 0.0863 0.4338 0.2963
O 0.0923 0.9441 0.3122
O 0.1487 0.1487 0.0957
O 0.1757 0.4617 0.9792
O 0.2681 0.7222 0.7433
O 0.2778 0.7319 0.2567
O 0.2885 0.2885 0.4704
O 0.4097 0.5587 0.3100
O 0.4338 0.0863 0.2963
O 0.4413 0.5903 0.6900
O 0.4617 0.1757 0.9792
O 0.5383 0.8243 0.0208
O 0.5587 0.4097 0.3100
O 0.5662 0.9137 0.7037
O 0.5903 0.4413 0.6900
O 0.7115 0.7115 0.5296
O 0.7222 0.2681 0.7433
O 0.7319 0.2778 0.2567
O 0.8243 0.5383 0.0208
O 0.8513 0.8513 0.9043
O 0.9077 0.0559 0.6878
O 0.9137 0.5662 0.7037
O 0.9441 0.0923 0.3122

Peak list (10 most intense, 10 to 80 degrees two-theta, sorted by position)
- d = 3.426 Å, I = 100
- d = 3.408 Å, I = 51
- d = 3.354 Å, I = 51
- d = 3.235 Å, I = 47
- d = 2.911 Å, I = 38
- d = 2.560 Å, I = 16
- d = 2.150 Å, I = 15
- d = 2.019 Å, I = 20
- d = 1.870 Å, I = 17
- d = 1.713 Å, I = 19